For CsCo2BiF8, a structure optimized by DFT (GGA+U) gives the theoretical powder diffraction line list in this record (a wavelength of 1.5418 Å).
Neutral-atom scattering factors, no anomalous dispersion.

Peak list (6 most intense, 2θ = 5–70°, sorted by position)
d = 9.076 Å, 2θ 9.75, intensity 93
d = 3.644 Å, 2θ 24.42, intensity 100
d = 3.549 Å, 2θ 25.09, intensity 68
d = 3.450 Å, 2θ 25.82, intensity 70
d = 3.270 Å, 2θ 27.28, intensity 49
d = 3.237 Å, 2θ 27.56, intensity 47

Structural model:
a = 4.909 Å, b = 5.160 Å, c = 9.120 Å
α = 94.56°, β = 93.04°, γ = 92.88°
Space group P-1 (No. 2)
Unique sites:
Cs 0.000 0.000 0.000 (multiplicity 1)
Co 0.493 0.543 0.686 (multiplicity 2)
Bi 0.000 0.000 0.500 (multiplicity 1)
F 0.147 0.257 0.327 (multiplicity 2)
F 0.218 0.248 0.693 (multiplicity 2)
F 0.355 0.712 0.492 (multiplicity 2)
F 0.442 0.716 0.868 (multiplicity 2)